This entry pairs a crystal structure of Pr2MgCd16 with its theoretical powder diffraction line list. Radiation: CuKα. Structure: a PBE-relaxed structure.
Lines closer than 0.1° are merged.

The 10 most intense peaks (2θ = 10–90°), most intense first:
2θ = 35.62°, intensity 100.0
2θ = 40.00°, intensity 38.9
2θ = 35.86°, intensity 24.4
2θ = 36.26°, intensity 21.2
2θ = 64.32°, intensity 19.4
2θ = 30.68°, intensity 16.7
2θ = 31.40°, intensity 14.9
2θ = 63.88°, intensity 13.1
2θ = 57.81°, intensity 10.5
2θ = 75.48°, intensity 9.4

Structural model:
```
19
Lattice="5.0479 2.9144 5.0078 -5.0479 2.9144 5.0078 0.0000 -5.8288 5.0078" Properties=species:S:1:pos:R:3 pbc="T T T"
Pr 0.0000 0.0000 0.0000
Pr 0.0000 0.0000 5.0443
Mg 0.0000 0.0000 11.4681
Cd 0.0000 -2.8592 2.8435
Cd -2.4761 1.4296 2.8435
Cd -2.5267 -1.4588 7.5413
Cd 0.0000 -3.0859 7.2607
Cd -2.6725 1.5430 7.2607
Cd -1.5017 -2.6047 10.0508
Cd -3.0066 0.0018 10.0508
Cd 2.4761 1.4296 2.8435
Cd 0.0000 0.0000 8.4629
Cd 2.5267 -1.4588 7.5413
Cd 1.5017 -2.6047 10.0508
Cd 0.0000 2.9176 7.5413
Cd -1.5049 2.6029 10.0508
Cd 2.6725 1.5430 7.2607
Cd 3.0066 0.0018 10.0508
Cd 1.5049 2.6029 10.0508
```